[1]
The following is a calculated powder XRD pattern of Rb2NaTcO4. It was derived from a DFT-relaxed cell (PBE, Alexandria), using Cu Kα.
Peak positions follow from Bragg's law for the DFT cell and can differ from measured ones.

Top 6 peaks for 10° ≤ 2θ ≤ 90°, in order of rising 2θ:
index	2θ/deg	Rel. int.
0 0 4	17.5	31
1 1 3	21.2	100
1 3 3	28.9	64
0 2 6	29.8	62
2 2 0	33.5	43
2 4 6	49.9	29

Crystal structure
Lattice parameters (Å, degrees): 5.885 12.925 20.275 90.00 90.00 90.00
Space group Fddd (No. 70, origin choice 2)
Symmetry-distinct sites (fractional):
Rb1 0.125 0.125 0.306 (multiplicity 16)
Na1 0.125 0.125 0.125 (multiplicity 8)
Tc1 0.125 0.125 0.625 (multiplicity 8)
O1 0.081 0.280 0.844 (multiplicity 32)

[2]
The following is a calculated powder XRD pattern of Mo2PbW. It was derived from a DFT-relaxed cell (PBE, Alexandria), using Cu Kα.
Peak positions follow from Bragg's law for the DFT cell and can differ from measured ones.

Top 6 peaks for 10° ≤ 2θ ≤ 90°, in order of rising 2θ:
index	2θ/deg	Rel. int.
0 0 2	19.4	15
0 2 0	37.6	27
1 1 2	38.4	100
0 0 4	39.4	21
0 2 4	55.6	16
1 3 2	68.3	18

Crystal structure
Lattice parameters (Å, degrees): 3.332 4.786 9.150 90.00 90.00 90.00
Space group Cmmm (No. 65)
Symmetry-distinct sites (fractional):
Mo1 0.000 0.000 0.228 (multiplicity 4)
Pb1 0.000 0.500 0.500 (multiplicity 2)
W1 0.000 0.500 0.000 (multiplicity 2)

[3]
The following is a calculated powder XRD pattern of Tb4MgHg2. It was derived from a DFT-relaxed cell (PBE, Alexandria), using Cu Kα.
Peak positions follow from Bragg's law for the DFT cell and can differ from measured ones.

Top 6 peaks for 10° ≤ 2θ ≤ 90°, in order of rising 2θ:
index	2θ/deg	Rel. int.
1 0 4	23.7	37
1 0 7	30.8	43
0 1 8	33.5	22
1 1 0	34.0	100
1 0 10	39.4	17
3 0 0	60.9	19

Crystal structure
Lattice parameters (Å, degrees): 5.2670 5.2670 26.3964 90.00 90.00 120.00
Space group R-3m (No. 166, hexagonal axes)
Symmetry-distinct sites (fractional):
Tb1 0.0000 0.0000 0.1264 (multiplicity 6)
Tb2 0.0000 0.0000 0.2825 (multiplicity 6)
Mg1 0.0000 0.0000 0.5000 (multiplicity 3)
Hg1 0.0000 0.0000 0.3978 (multiplicity 6)